No. 1
Diffraction record for CaAl2Si3W3O10. The powder XRD pattern is computed, not measured: it uses DFT lattice parameters and positions (GGA+U) and Cu Kα X-rays.
Lines closer than 0.1° are merged.

Top 12 peaks for 10 to 90 degrees two-theta, in order of falling intensity:
hkl, Position (°2θ), I_rel
1 5 1, 29.1, 100.0
1 3 -3, 30.0, 68.0
0 2 1, 12.6, 65.6
1 1 -2, 19.8, 34.2
1 3 0, 19.2, 33.4
1 3 2, 29.6, 30.4
0 8 1, 36.4, 23.7
1 3 1, 23.1, 23.4
3 1 0, 43.3, 22.7
2 4 -2, 33.7, 21.5
2 6 -1, 37.9, 17.3
2 4 -1, 32.2, 17.2

Crystal structure
```
data_CaAl2Si3W3O10
_chemical_formula_sum 'Ca4 Al8 Si12 W12 O40'
_symmetry_space_group_name_H-M 'C 1 c 1'
_symmetry_Int_Tables_number 9
_cell_length_a 6.6287
_cell_length_b 20.3911
_cell_length_c 10.1785
_cell_angle_alpha 90.00
_cell_angle_beta 108.06
_cell_angle_gamma 90.00
loop_
_symmetry_equiv_pos_as_xyz
'x,y,z'
'x,-y,z+1/2'
'x+1/2,y+1/2,z'
'x+1/2,-y+1/2,z+1/2'
loop_
_atom_site_label
_atom_site_type_symbol
_atom_site_fract_x
_atom_site_fract_y
_atom_site_fract_z
_atom_site_occupancy
Ca1 Ca 0.0000 0.1602 0.0000 1
Al1 Al 0.2121 0.4544 0.9656 1
Al2 Al 0.2974 0.2926 0.1675 1
Si1 Si 0.0943 0.4221 0.2430 1
Si2 Si 0.1400 0.1276 0.5724 1
Si3 Si 0.4278 0.1780 0.3994 1
W1 W 0.0855 0.0484 0.2531 1
W2 W 0.1867 0.3564 0.6781 1
W3 W 0.3393 0.0501 0.9946 1
O1 O 0.0252 0.1847 0.6318 1
O2 O 0.0642 0.3856 0.8773 1
O3 O 0.0816 0.2730 0.0182 1
O4 O 0.1320 0.4688 0.3807 1
O5 O 0.1389 0.4626 0.1170 1
O6 O 0.2270 0.1578 0.4502 1
O7 O 0.2465 0.3555 0.2780 1
O8 O 0.3396 0.2173 0.2544 1
O9 O 0.3459 0.1015 0.6980 1
O10 O 0.4793 0.4320 0.9962 1
```


No. 2
Diffraction record for Ba2Fe8Ni3Sb2O22. The powder XRD pattern is computed, not measured: it uses DFT lattice parameters and positions (GGA+U) and Cu Kα X-rays.
Lines closer than 0.1° are merged.

Top 12 peaks for 10 to 90 degrees two-theta, in order of falling intensity:
hkl, Position (°2θ), I_rel
0 1 4, 30.1, 100.0
1 1 0, 29.7, 69.9
1 1 3, 35.2, 56.2
1 2 4, 52.9, 43.4
2 2 0, 61.6, 38.2
2 0 3, 39.3, 27.5
2 0 7, 56.9, 27.2
1 1 1, 30.3, 23.7
2 0 5, 47.0, 21.5
2 0 2, 36.6, 17.1
3 1 4, 70.1, 16.9
0 2 8, 62.6, 15.9

Crystal structure
```
data_Ba2Fe8Ni3Sb2O22
_chemical_formula_sum 'Ba2 Fe8 Ni3 Sb2 O22'
_symmetry_space_group_name_H-M 'P -3 m 1'
_symmetry_Int_Tables_number 164
_symmetry_space_group_name_Hall '-P 3 2"'
_cell_length_a 6.0227
_cell_length_b 6.0227
_cell_length_c 14.4268
_cell_angle_alpha 90.00
_cell_angle_beta 90.00
_cell_angle_gamma 120.00
loop_
_atom_site_label
_atom_site_type_symbol
_atom_site_fract_x
_atom_site_fract_y
_atom_site_fract_z
_atom_site_occupancy
Ba1 Ba 0.3333 0.6667 0.4246 1
Fe1 Fe 0.1649 0.3299 0.1716 1
Fe2 Fe 0.3333 0.6667 0.9536 1
Ni1 Ni 0.0000 0.0000 0.0000 1
Ni2 Ni 0.0000 0.0000 0.3778 1
Sb1 Sb 0.3333 0.6667 0.6759 1
O1 O 0.0000 0.0000 0.2392 1
O2 O 0.0073 0.5037 0.2449 1
O3 O 0.1555 0.3110 0.9134 1
O4 O 0.1795 0.3590 0.5929 1
O5 O 0.3333 0.6667 0.0910 1
```